For NaV5O8, a structure optimized by DFT (GGA+U) gives the calculated powder XRD pattern in this record (a wavelength of 1.5418 Å).
Intensities are scaled so that the largest is 100.

Peak list (10 most intense, 10° ≤ 2θ ≤ 80°, sorted by position)
| 2θ/deg | I/Imax | h k l |
| --- | --- | --- |
| 14.48 | 7 | 1 1 0 |
| 23.00 | 6 | 2 1 0 |
| 29.21 | 32 | 2 2 0 |
| 34.39 | 100 | 3 1 1 |
| 41.78 | 22 | 4 0 0 |
| 51.79 | 12 | 4 2 2 |
| 55.19 | 34 | 5 1 1 |
| 60.56 | 48 | 4 4 0 |
| 68.63 | 5 | 6 2 0 |
| 71.54 | 10 | 5 3 3 |

Structure:
a b c (Å): 8.648 8.648 8.648
angles (deg): 90.00 90.00 90.00
Atoms (fractional coordinates):
1 Na 0.125 0.125 0.125
2 Na 0.375 0.875 0.625
3 Na 0.625 0.375 0.875
4 Na 0.875 0.625 0.375
5 V 0.000 0.000 0.500
6 V 0.000 0.500 0.000
7 V 0.124 0.375 0.374
8 V 0.125 0.626 0.624
9 V 0.126 0.876 0.875
10 V 0.250 0.250 0.750
11 V 0.250 0.750 0.250
12 V 0.374 0.124 0.375
13 V 0.375 0.374 0.124
14 V 0.376 0.625 0.874
15 V 0.500 0.000 0.000
16 V 0.500 0.500 0.500
17 V 0.624 0.125 0.626
18 V 0.625 0.874 0.376
19 V 0.626 0.624 0.125
20 V 0.750 0.250 0.250
21 V 0.750 0.750 0.750
22 V 0.874 0.376 0.625
23 V 0.875 0.126 0.876
24 V 0.876 0.875 0.126
25 O 0.108 0.859 0.114
26 O 0.109 0.858 0.636
27 O 0.114 0.108 0.859
28 O 0.115 0.385 0.615
29 O 0.135 0.635 0.865
30 O 0.136 0.391 0.142
31 O 0.141 0.614 0.392
32 O 0.142 0.136 0.391
33 O 0.358 0.864 0.891
34 O 0.359 0.386 0.892
35 O 0.364 0.609 0.642
36 O 0.365 0.365 0.365
37 O 0.385 0.615 0.115
38 O 0.386 0.892 0.359
39 O 0.391 0.142 0.136
40 O 0.392 0.141 0.614
41 O 0.608 0.641 0.886
42 O 0.609 0.642 0.364
43 O 0.614 0.392 0.141
44 O 0.615 0.115 0.385
45 O 0.635 0.865 0.135
46 O 0.636 0.109 0.858
47 O 0.641 0.886 0.608
48 O 0.642 0.364 0.609
49 O 0.858 0.636 0.109
50 O 0.859 0.114 0.108
51 O 0.864 0.891 0.358
52 O 0.865 0.135 0.635
53 O 0.885 0.885 0.885
54 O 0.886 0.608 0.641
55 O 0.891 0.358 0.864
56 O 0.892 0.359 0.386